For NaGdHg2, the PBE geometry in the Materials Project gives the simulated PXRD pattern in this record (Cu Kα X-rays).
Peak positions follow from Bragg's law for the DFT cell and can differ from measured ones.

Lattice parameters (Å, degrees): 5.2417 5.2417 5.2417 60.00 60.00 60.00
Positions (direct):
Na 0.0000 0.0000 0.0000
Gd 0.5000 0.5000 0.5000
Hg 0.2500 0.2500 0.2500
Hg 0.7500 0.7500 0.7500

Principal peaks in the range 2θ = 5–70°, by intensity:
d/Å  2θ/deg  intensity
2.621  34.21  100
1.513  61.26  38
1.853  49.16  18
3.706  24.01  17
4.280  20.75  12
1.658  55.43  8
2.235  40.35  6
2.140  42.23  6
1.701  53.91  3
1.427  65.42  2